No. 1
Structure and computed XRD peak list of Al2HPd6 (a DFT-relaxed cell (PBE, Alexandria); Cu Kα (weighted mean of Kα1 and Kα2)).
Kinematic intensities with the Lorentz-polarization factor, no thermal factor.

Principal peaks in the range 10 to 90 degrees two-theta, sorted by position:
- 27.0°, d 3.297, intensity 21
- 32.0°, d 2.801, intensity 10
- 38.4°, d 2.342, intensity 44
- 40.1°, d 2.247, intensity 35
- 42.3°, d 2.135, intensity 100
- 48.3°, d 1.885, intensity 23
- 66.8°, d 1.400, intensity 22
- 74.4°, d 1.274, intensity 18
- 80.9°, d 1.188, intensity 26
- 82.4°, d 1.171, intensity 14

```
data_Al2HPd6
_cell_length_a 5.6019
_cell_length_b 5.6019
_cell_length_c 8.9867
_cell_angle_alpha 90.00
_cell_angle_beta 90.00
_cell_angle_gamma 120.00
_symmetry_space_group_name_H-M 'P 63 m c'
_symmetry_Int_Tables_number 186
_symmetry_space_group_name_Hall 'P 6c -2c'
loop_
_atom_site_label
_atom_site_type_symbol
_atom_site_fract_x
_atom_site_fract_y
_atom_site_fract_z
Al1 Al 0.0000 0.0000 0.0000
Al2 Al 0.3333 0.6667 0.2498
H1 H 0.3333 0.6667 0.6380
Pd1 Pd 0.0020 0.5010 0.9999
Pd2 Pd 0.1624 0.3249 0.7509
```

No. 2
Structure and computed XRD peak list of LiAuS4O14 (a DFT-relaxed cell (PBE, Alexandria); Cu Kα (weighted mean of Kα1 and Kα2)).
Kinematic intensities with the Lorentz-polarization factor, no thermal factor.

Principal peaks in the range 10 to 90 degrees two-theta, sorted by position:
- 10.4°, d 8.500, intensity 67
- 13.9°, d 6.358, intensity 100
- 14.7°, d 6.036, intensity 71
- 16.7°, d 5.317, intensity 41
- 18.5°, d 4.800, intensity 100
- 22.7°, d 3.921, intensity 86
- 26.8°, d 3.322, intensity 32
- 28.9°, d 3.085, intensity 37
- 29.6°, d 3.018, intensity 39
- 39.7°, d 2.268, intensity 33

```
data_LiAuS4O14
_cell_length_a 5.4888
_cell_length_b 6.8220
_cell_length_c 8.9306
_cell_angle_alpha 106.24
_cell_angle_beta 93.66
_cell_angle_gamma 102.25
_symmetry_space_group_name_H-M 'P -1'
_symmetry_Int_Tables_number 2
loop_
_symmetry_equiv_pos_as_xyz
'x,y,z'
'-x,-y,-z'
loop_
_atom_site_label
_atom_site_type_symbol
_atom_site_fract_x
_atom_site_fract_y
_atom_site_fract_z
Li1 Li 0.0000 0.0000 0.0000
Au1 Au 0.0000 0.5000 0.5000
S1 S 0.1354 0.3014 0.7525
S2 S 0.4123 0.7303 0.7850
O1 O 0.0490 0.2381 0.8838
O2 O 0.0688 0.6081 0.3118
O3 O 0.2375 0.8461 0.8548
O4 O 0.2390 0.1684 0.6333
O5 O 0.3230 0.1791 0.1755
O6 O 0.3575 0.6515 0.6042
O7 O 0.3703 0.5162 0.8383
```

No. 3
Structure and computed XRD peak list of U3Si6Mo (a DFT-relaxed cell (PBE, Alexandria); Cu Kα (weighted mean of Kα1 and Kα2)).
Kinematic intensities with the Lorentz-polarization factor, no thermal factor.

Principal peaks in the range 10 to 90 degrees two-theta, sorted by position:
- 19.0°, d 4.674, intensity 37
- 25.3°, d 3.520, intensity 47
- 26.7°, d 3.334, intensity 35
- 29.9°, d 2.992, intensity 52
- 33.5°, d 2.676, intensity 25
- 35.9°, d 2.502, intensity 100
- 38.5°, d 2.337, intensity 62
- 38.8°, d 2.322, intensity 57
- 51.8°, d 1.765, intensity 26
- 57.6°, d 1.599, intensity 26

```
data_U3Si6Mo
_cell_length_a 10.7053
_cell_length_b 10.7053
_cell_length_c 10.8230
_cell_angle_alpha 90.00
_cell_angle_beta 90.00
_cell_angle_gamma 120.00
_symmetry_space_group_name_H-M 'R -3 c'
_symmetry_Int_Tables_number 167
_symmetry_space_group_name_Hall '-R 3 2"c'
loop_
_atom_site_label
_atom_site_type_symbol
_atom_site_fract_x
_atom_site_fract_y
_atom_site_fract_z
U1 U 0.0000 0.4368 0.2500
Si1 Si 0.0702 0.2089 0.3403
Mo1 Mo 0.0000 0.0000 0.0000
```

No. 4
Structure and computed XRD peak list of LaCu4Ru (a DFT-relaxed cell (PBE, Alexandria); Cu Kα (weighted mean of Kα1 and Kα2)).
Kinematic intensities with the Lorentz-polarization factor, no thermal factor.

Principal peaks in the range 10 to 90 degrees two-theta, sorted by position:
- 21.4°, d 4.146, intensity 3
- 24.8°, d 3.591, intensity 2
- 35.4°, d 2.539, intensity 48
- 41.7°, d 2.165, intensity 100
- 43.7°, d 2.073, intensity 24
- 63.5°, d 1.466, intensity 17
- 67.8°, d 1.382, intensity 30
- 74.8°, d 1.270, intensity 23
- 85.5°, d 1.136, intensity 8
- 89.5°, d 1.095, intensity 11

```
data_LaCu4Ru
_cell_length_a 7.1816
_cell_length_b 7.1816
_cell_length_c 7.1816
_cell_angle_alpha 90.00
_cell_angle_beta 90.00
_cell_angle_gamma 90.00
_symmetry_space_group_name_H-M 'F -4 3 m'
_symmetry_Int_Tables_number 216
_symmetry_space_group_name_Hall 'F -4 2 3'
loop_
_atom_site_label
_atom_site_type_symbol
_atom_site_fract_x
_atom_site_fract_y
_atom_site_fract_z
La1 La 0.0000 0.0000 0.0000
Cu1 Cu 0.1230 0.1230 0.3770
Ru1 Ru 0.2500 0.2500 0.7500
```